1.
This entry pairs a crystal structure of Cs2MnSI6 with its calculated powder diffractogram. Radiation: CuKα. Structure: a crystal structure in Alexandria, relaxed with PBE.
Intensities are scaled so that the largest is 100.

Structure:
```
data_Cs2MnSI6
_chemical_formula_sum 'Cs4 Mn2 S2 I12'
_space_group_name_H-M_alt 'I 4/m m m'
_space_group_IT_number 139
_space_group_name_Hall '-I 4 2'
_cell_length_a 8.541
_cell_length_b 8.541
_cell_length_c 11.580
_cell_angle_alpha 90.00
_cell_angle_beta 90.00
_cell_angle_gamma 90.00
loop_
_atom_site_label
_atom_site_type_symbol
_atom_site_fract_x
_atom_site_fract_y
_atom_site_fract_z
Cs1 Cs 0.000 0.500 0.250
Mn1 Mn 0.000 0.000 0.000
S1 S 0.000 0.000 0.500
I1 I 0.000 0.000 0.270
I2 I 0.224 0.224 0.000
```

Top 8 peaks for 2θ = 15–90°, low angle first:
| d (Å) | intensity | hkl |
| --- | --- | --- |
| 3.437 | 100 | 2 0 2 |
| 3.020 | 50 | 2 2 0 |
| 2.895 | 23 | 0 0 4 |
| 2.135 | 17 | 4 0 0 |
| 2.090 | 33 | 2 2 4 |
| 1.814 | 25 | 4 2 2 |
| 1.759 | 13 | 2 0 6 |
| 1.718 | 16 | 4 0 4 |

=====

2.
This entry pairs a crystal structure of Cs3SrMn2I9 with its calculated powder diffractogram. Radiation: CuKα. Structure: a crystal structure in Alexandria, relaxed with PBE.
Intensities are scaled so that the largest is 100.

Structure:
```
data_Cs3SrMn2I9
_chemical_formula_sum 'Cs3 Sr1 Mn2 I9'
_space_group_name_H-M_alt 'P -3 m 1'
_space_group_IT_number 164
_space_group_name_Hall '-P 3 2"'
_cell_length_a 8.5356
_cell_length_b 8.5356
_cell_length_c 10.5536
_cell_angle_alpha 90.00
_cell_angle_beta 90.00
_cell_angle_gamma 120.00
loop_
_atom_site_label
_atom_site_type_symbol
_atom_site_fract_x
_atom_site_fract_y
_atom_site_fract_z
Cs1 Cs 0.0000 0.0000 0.0000
Cs2 Cs 0.3333 0.6667 0.6798
Sr1 Sr 0.0000 0.0000 0.5000
Mn1 Mn 0.3333 0.6667 0.1565
I1 I 0.0000 0.5000 0.0000
I2 I 0.1752 0.3504 0.3173
```

Top 8 peaks for 2θ = 15–90°, low angle first:
| d (Å) | intensity | hkl |
| --- | --- | --- |
| 3.518 | 28 | 0 0 3 |
| 3.488 | 85 | 0 2 1 |
| 3.027 | 100 | 2 0 2 |
| 2.147 | 35 | 0 2 4 |
| 2.134 | 36 | 2 2 0 |
| 1.824 | 25 | 2 2 3 |
| 1.744 | 19 | 0 4 2 |
| 1.350 | 16 | 4 2 2 |

=====

3.
This entry pairs a crystal structure of CsSrMnI6 with its calculated powder diffractogram. Radiation: CuKα. Structure: a crystal structure in Alexandria, relaxed with PBE.
Intensities are scaled so that the largest is 100.

Structure:
```
data_CsSrMnI6
_chemical_formula_sum 'Cs1 Sr1 Mn1 I6'
_space_group_name_H-M_alt 'P 3 1 2'
_space_group_IT_number 149
_cell_length_a 8.0398
_cell_length_b 8.0398
_cell_length_c 8.4259
_cell_angle_alpha 90.00
_cell_angle_beta 90.00
_cell_angle_gamma 120.00
loop_
_space_group_symop_operation_xyz
'x,y,z'
'-y,x-y,z'
'-x+y,-x,z'
'-y,-x,-z'
'-x+y,y,-z'
'x,x-y,-z'
loop_
_atom_site_label
_atom_site_type_symbol
_atom_site_fract_x
_atom_site_fract_y
_atom_site_fract_z
Cs1 Cs 0.0000 0.0000 0.0000
Sr1 Sr 0.3333 0.6667 0.5000
Mn1 Mn 0.6667 0.3333 0.5000
I1 I 0.3919 0.0441 0.6987
```

Top 8 peaks for 2θ = 15–90°, low angle first:
| d (Å) | intensity | hkl |
| --- | --- | --- |
| 5.367 | 44 | 1 0 1 |
| 3.628 | 100 | 1 1 1 |
| 2.908 | 73 | 2 -1 2 |
| 2.512 | 36 | 3 -1 1 |
| 2.321 | 30 | 3 0 0 |
| 2.302 | 18 | 1 1 3 |
| 1.866 | 17 | 1 1 4 |
| 1.814 | 13 | 2 2 2 |

=====

4.
This entry pairs a crystal structure of CsTbMnI6 with its calculated powder diffractogram. Radiation: CuKα. Structure: a crystal structure in Alexandria, relaxed with PBE.
Intensities are scaled so that the largest is 100.

Structure:
```
data_CsTbMnI6
_chemical_formula_sum 'Cs2 Tb2 Mn2 I12'
_space_group_name_H-M_alt 'C 1 2 1'
_space_group_IT_number 5
_cell_length_a 7.747
_cell_length_b 13.429
_cell_length_c 8.752
_cell_angle_alpha 90.00
_cell_angle_beta 90.11
_cell_angle_gamma 90.00
loop_
_space_group_symop_operation_xyz
'x,y,z'
'-x,y,-z'
'x+1/2,y+1/2,z'
'-x+1/2,y+1/2,-z'
loop_
_atom_site_label
_atom_site_type_symbol
_atom_site_fract_x
_atom_site_fract_y
_atom_site_fract_z
Cs1 Cs 0.000 0.000 0.000
Tb1 Tb 0.000 0.333 0.500
Mn1 Mn 0.000 0.667 0.500
I1 I 0.128 0.506 0.303
I2 I 0.176 0.811 0.303
I3 I 0.195 0.183 0.303
```

Top 8 peaks for 2θ = 15–90°, low angle first:
| d (Å) | intensity | hkl |
| --- | --- | --- |
| 5.326 | 62 | 1 1 1 |
| 3.543 | 100 | 2 0 -1 |
| 2.901 | 94 | 1 3 -2 |
| 2.436 | 26 | 3 1 1 |
| 2.331 | 24 | 1 3 3 |
| 2.237 | 39 | 3 3 0 |
| 1.905 | 22 | 2 0 -4 |
| 1.821 | 17 | 1 7 1 |

=====

5.
This entry pairs a crystal structure of CsMnTeI6 with its calculated powder diffractogram. Radiation: CuKα. Structure: a crystal structure in Alexandria, relaxed with PBE.
Intensities are scaled so that the largest is 100.

Structure:
```
data_CsMnTeI6
_chemical_formula_sum 'Cs2 Mn2 Te2 I12'
_space_group_name_H-M_alt 'C 1 2 1'
_space_group_IT_number 5
_cell_length_a 8.299
_cell_length_b 13.073
_cell_length_c 8.556
_cell_angle_alpha 90.00
_cell_angle_beta 93.67
_cell_angle_gamma 90.00
loop_
_space_group_symop_operation_xyz
'x,y,z'
'-x,y,-z'
'x+1/2,y+1/2,z'
'-x+1/2,y+1/2,-z'
loop_
_atom_site_label
_atom_site_type_symbol
_atom_site_fract_x
_atom_site_fract_y
_atom_site_fract_z
Cs1 Cs 0.000 0.000 0.000
Mn1 Mn 0.000 0.672 0.500
Te1 Te 0.000 0.325 0.500
I1 I 0.121 0.499 0.700
I2 I 0.159 0.796 0.719
I3 I 0.200 0.173 0.683
```

Top 8 peaks for 2θ = 15–90°, low angle first:
| d (Å) | intensity | hkl |
| --- | --- | --- |
| 5.561 | 40 | 1 1 -1 |
| 3.823 | 37 | 2 0 -1 |
| 3.636 | 45 | 2 0 1 |
| 3.555 | 80 | 1 3 -1 |
| 3.476 | 47 | 1 3 1 |
| 3.072 | 54 | 2 0 -2 |
| 2.820 | 100 | 1 3 2 |
| 2.332 | 49 | 3 3 0 |

=====

6.
This entry pairs a crystal structure of Cs3Mn2TlI9 with its calculated powder diffractogram. Radiation: CuKα. Structure: a crystal structure in Alexandria, relaxed with PBE.
Intensities are scaled so that the largest is 100.

Structure:
```
data_Cs3Mn2TlI9
_chemical_formula_sum 'Cs3 Mn2 Tl1 I9'
_space_group_name_H-M_alt 'P -3 m 1'
_space_group_IT_number 164
_space_group_name_Hall '-P 3 2"'
_cell_length_a 8.4477
_cell_length_b 8.4477
_cell_length_c 10.6074
_cell_angle_alpha 90.00
_cell_angle_beta 90.00
_cell_angle_gamma 120.00
loop_
_atom_site_label
_atom_site_type_symbol
_atom_site_fract_x
_atom_site_fract_y
_atom_site_fract_z
Cs1 Cs 0.0000 0.0000 0.0000
Cs2 Cs 0.3333 0.6667 0.6750
Mn1 Mn 0.3333 0.6667 0.1601
Tl1 Tl 0.0000 0.0000 0.5000
I1 I 0.0000 0.5000 0.0000
I2 I 0.1764 0.3528 0.3086
```

Top 8 peaks for 2θ = 15–90°, low angle first:
| d (Å) | intensity | hkl |
| --- | --- | --- |
| 3.536 | 19 | 0 0 3 |
| 3.458 | 64 | 0 2 1 |
| 3.011 | 100 | 2 0 2 |
| 2.147 | 32 | 0 2 4 |
| 2.112 | 35 | 2 2 0 |
| 1.813 | 16 | 2 2 3 |
| 1.729 | 19 | 0 4 2 |
| 1.338 | 15 | 4 2 2 |

=====

7.
This entry pairs a crystal structure of CsZr6MnI14 with its calculated powder diffractogram. Radiation: CuKα. Structure: a crystal structure in Alexandria, relaxed with PBE.
Intensities are scaled so that the largest is 100.

Structure:
```
data_CsZr6MnI14
_chemical_formula_sum 'Cs4 Zr24 Mn4 I56'
_space_group_name_H-M_alt 'C m c e'
_space_group_IT_number 64
_space_group_name_Hall '-C 2ac 2'
_cell_length_a 16.418
_cell_length_b 15.180
_cell_length_c 13.372
_cell_angle_alpha 90.00
_cell_angle_beta 90.00
_cell_angle_gamma 90.00
loop_
_atom_site_label
_atom_site_type_symbol
_atom_site_fract_x
_atom_site_fract_y
_atom_site_fract_z
Cs1 Cs 0.000 0.000 0.000
Zr1 Zr 0.000 0.135 0.401
Zr2 Zr 0.109 0.064 0.612
Mn1 Mn 0.000 0.000 0.500
I1 I 0.000 0.153 0.759
I2 I 0.123 0.088 0.252
I3 I 0.124 0.235 0.508
I4 I 0.250 0.000 0.000
I5 I 0.250 0.144 0.750
```

Top 8 peaks for 2θ = 15–90°, low angle first:
| d (Å) | intensity | hkl |
| --- | --- | --- |
| 3.486 | 35 | 4 2 1 |
| 3.343 | 37 | 0 0 4 |
| 3.300 | 86 | 0 4 2 |
| 3.177 | 100 | 4 2 2 |
| 2.890 | 31 | 0 4 3 |
| 2.805 | 82 | 4 2 3 |
| 2.152 | 66 | 4 6 0 |
| 1.896 | 30 | 4 2 6 |

=====

8.
This entry pairs a crystal structure of CsSbMoI2 with its calculated powder diffractogram. Radiation: CuKα. Structure: a crystal structure in Alexandria, relaxed with PBE.
Intensities are scaled so that the largest is 100.

Structure:
```
data_CsSbMoI2
_chemical_formula_sum 'Cs1 Sb1 Mo1 I2'
_space_group_name_H-M_alt 'P 4/m m m'
_space_group_IT_number 123
_space_group_name_Hall '-P 4 2'
_cell_length_a 6.012
_cell_length_b 6.012
_cell_length_c 5.280
_cell_angle_alpha 90.00
_cell_angle_beta 90.00
_cell_angle_gamma 90.00
loop_
_atom_site_label
_atom_site_type_symbol
_atom_site_fract_x
_atom_site_fract_y
_atom_site_fract_z
Cs1 Cs 0.000 0.000 0.000
Sb1 Sb 0.500 0.500 0.000
Mo1 Mo 0.500 0.500 0.500
I1 I 0.000 0.500 0.500
```

Top 8 peaks for 2θ = 15–90°, low angle first:
| d (Å) | intensity | hkl |
| --- | --- | --- |
| 3.311 | 100 | 1 1 1 |
| 3.006 | 86 | 2 0 0 |
| 2.640 | 30 | 0 0 2 |
| 2.125 | 32 | 2 2 0 |
| 1.984 | 51 | 2 0 2 |
| 1.789 | 34 | 3 1 1 |
| 1.656 | 29 | 2 2 2 |
| 1.198 | 20 | 4 2 2 |